Starting from a structure optimized by DFT (PBE), the powder diffraction line list of Ac2Zn12Rh5 was calculated for CuKα.
Kinematic intensities with the Lorentz-polarization factor, no thermal factor.

Most intense lines, 10° ≤ 2θ ≤ 80°, sorted by position:
2theta  I_rel
27.9  55
33.5  45
38.9  93
39.4  100
40.8  73
44.2  22
45.4  23
56.6  30
57.6  28
73.3  23

Structure:
```
Ac2Zn12Rh5
1.0
4.628 2.672 4.425
-4.628 2.672 4.425
0.000 -5.344 4.425
Ac Zn Rh
2 12 5
direct
0.171 0.171 0.171
0.829 0.829 0.829
0.160 0.160 0.649
0.160 0.649 0.160
0.220 0.500 0.780
0.220 0.780 0.500
0.351 0.840 0.840
0.500 0.220 0.780
0.500 0.780 0.220
0.649 0.160 0.160
0.780 0.220 0.500
0.780 0.500 0.220
0.840 0.351 0.840
0.840 0.840 0.351
0.000 0.500 0.500
0.400 0.400 0.400
0.500 0.000 0.500
0.500 0.500 0.000
0.600 0.600 0.600
```